# 1
This entry pairs a crystal structure of TlI3Br2 with its calculated powder X-ray diffraction pattern. Radiation: Cu Kα (λ = 1.5418 Å). Structure: a structure optimized by DFT (GGA-PBE).
Intensities are scaled so that the largest is 100.

Main lines, by angle (10° ≤ 2θ ≤ 90°):
13.8°, d 6.410, I = 100.0
19.4°, d 4.568, I = 65.8
22.6°, d 3.932, I = 30.9
23.3°, d 3.821, I = 70.2
27.2°, d 3.282, I = 38.1
27.3°, d 3.261, I = 22.2
30.1°, d 2.970, I = 92.5
30.9°, d 2.890, I = 27.7
32.6°, d 2.747, I = 24.1
33.9°, d 2.648, I = 45.7
42.9°, d 2.110, I = 23.6
43.8°, d 2.065, I = 21.2

Structure:
```
data_TlI3Br2
_symmetry_space_group_name_H-M 'P 1'
_symmetry_Int_Tables_number 1
_cell_length_a 9.140
_cell_length_b 9.140
_cell_length_c 9.843
_cell_angle_alpha 116.69
_cell_angle_beta 116.69
_cell_angle_gamma 89.06
loop_
_symmetry_equiv_pos_as_xyz
'x,y,z'
loop_
_atom_site_label
_atom_site_type_symbol
_atom_site_fract_x
_atom_site_fract_y
_atom_site_fract_z
Tl1 Tl 0.037 0.963 0.750
Tl2 Tl 0.963 0.037 0.250
I1 I 0.289 0.320 0.701
I2 I 0.320 0.289 0.201
I3 I 0.374 0.626 0.250
I4 I 0.626 0.374 0.750
I5 I 0.680 0.711 0.799
I6 I 0.711 0.680 0.299
Br1 Br 0.033 0.740 0.352
Br2 Br 0.260 0.967 0.148
Br3 Br 0.740 0.033 0.852
Br4 Br 0.967 0.260 0.648
```

# 2
This entry pairs a crystal structure of Tl5I2Br3 with its calculated powder X-ray diffraction pattern. Radiation: Cu Kα (λ = 1.5418 Å). Structure: a structure optimized by DFT (GGA-PBE).
Intensities are scaled so that the largest is 100.

Main lines, by angle (10° ≤ 2θ ≤ 90°):
21.4°, d 4.160, I = 23.4
25.1°, d 3.549, I = 100.0
26.8°, d 3.332, I = 20.8
27.4°, d 3.257, I = 71.4
28.8°, d 3.099, I = 29.8
33.5°, d 2.678, I = 31.6
33.6°, d 2.664, I = 34.2
37.3°, d 2.414, I = 25.2
37.7°, d 2.386, I = 29.9
37.8°, d 2.379, I = 36.2
47.3°, d 1.921, I = 32.4
59.6°, d 1.551, I = 23.1

Structure:
```
data_Tl5I2Br3
_symmetry_space_group_name_H-M 'P 1'
_symmetry_Int_Tables_number 1
_cell_length_a 9.005
_cell_length_b 9.005
_cell_length_c 12.393
_cell_angle_alpha 124.79
_cell_angle_beta 124.79
_cell_angle_gamma 30.64
loop_
_symmetry_equiv_pos_as_xyz
'x,y,z'
loop_
_atom_site_label
_atom_site_type_symbol
_atom_site_fract_x
_atom_site_fract_y
_atom_site_fract_z
Tl1 Tl 0.000 0.000 0.000
Tl2 Tl 0.093 0.093 0.412
Tl3 Tl 0.292 0.292 0.197
Tl4 Tl 0.708 0.708 0.803
Tl5 Tl 0.907 0.907 0.588
I1 I 0.342 0.342 0.738
I2 I 0.658 0.658 0.262
Br1 Br 0.117 0.117 0.869
Br2 Br 0.500 0.500 0.500
Br3 Br 0.883 0.883 0.131
```

# 3
This entry pairs a crystal structure of TlI3Br9 with its calculated powder X-ray diffraction pattern. Radiation: Cu Kα (λ = 1.5418 Å). Structure: a structure optimized by DFT (GGA-PBE).
Intensities are scaled so that the largest is 100.

Main lines, by angle (10° ≤ 2θ ≤ 90°):
10.8°, d 8.176, I = 46.5
11.6°, d 7.645, I = 67.6
14.9°, d 5.955, I = 100.0
16.2°, d 5.469, I = 40.8
19.3°, d 4.591, I = 61.9
20.9°, d 4.258, I = 75.9
27.1°, d 3.292, I = 39.5
27.6°, d 3.227, I = 37.0
29.2°, d 3.054, I = 44.7
30.8°, d 2.900, I = 36.1
32.8°, d 2.733, I = 65.6
34.5°, d 2.600, I = 33.9

Structure:
```
data_TlI3Br9
_symmetry_space_group_name_H-M 'P 1'
_symmetry_Int_Tables_number 1
_cell_length_a 11.750
_cell_length_b 11.750
_cell_length_c 16.641
_cell_angle_alpha 124.66
_cell_angle_beta 124.66
_cell_angle_gamma 42.50
loop_
_symmetry_equiv_pos_as_xyz
'x,y,z'
loop_
_atom_site_label
_atom_site_type_symbol
_atom_site_fract_x
_atom_site_fract_y
_atom_site_fract_z
Tl1 Tl 0.107 0.893 0.500
Tl2 Tl 0.893 0.107 0.000
I1 I 0.092 0.455 0.355
I2 I 0.207 0.811 0.255
I3 I 0.408 0.977 0.112
I4 I 0.455 0.092 0.855
I5 I 0.811 0.207 0.755
I6 I 0.977 0.408 0.612
Br1 Br 0.019 0.807 0.057
Br2 Br 0.035 0.431 0.488
Br3 Br 0.066 0.709 0.264
Br4 Br 0.110 0.559 0.779
Br5 Br 0.236 0.841 0.945
Br6 Br 0.318 0.520 0.510
Br7 Br 0.352 0.909 0.255
Br8 Br 0.394 0.803 0.449
Br9 Br 0.409 0.852 0.700
Br10 Br 0.431 0.035 0.988
Br11 Br 0.520 0.318 0.010
Br12 Br 0.559 0.110 0.279
Br13 Br 0.709 0.066 0.764
Br14 Br 0.803 0.394 0.949
Br15 Br 0.807 0.019 0.557
Br16 Br 0.841 0.236 0.445
Br17 Br 0.852 0.409 0.200
Br18 Br 0.909 0.352 0.755
```

# 4
This entry pairs a crystal structure of Tl2I2Br7 with its calculated powder X-ray diffraction pattern. Radiation: Cu Kα (λ = 1.5418 Å). Structure: a structure optimized by DFT (GGA-PBE).
Intensities are scaled so that the largest is 100.

Main lines, by angle (10° ≤ 2θ ≤ 90°):
12.5°, d 7.082, I = 44.0
15.8°, d 5.624, I = 75.8
16.5°, d 5.375, I = 72.7
19.2°, d 4.627, I = 74.1
19.4°, d 4.580, I = 41.0
23.3°, d 3.821, I = 57.3
24.8°, d 3.592, I = 100.0
29.7°, d 3.007, I = 87.6
33.3°, d 2.690, I = 41.2
34.2°, d 2.624, I = 53.2
38.6°, d 2.331, I = 34.8
39.4°, d 2.286, I = 42.4

Structure:
```
data_Tl2I2Br7
_symmetry_space_group_name_H-M 'P 1'
_symmetry_Int_Tables_number 1
_cell_length_a 8.394
_cell_length_b 15.155
_cell_length_c 8.011
_cell_angle_alpha 90.00
_cell_angle_beta 90.93
_cell_angle_gamma 90.00
loop_
_symmetry_equiv_pos_as_xyz
'x,y,z'
loop_
_atom_site_label
_atom_site_type_symbol
_atom_site_fract_x
_atom_site_fract_y
_atom_site_fract_z
Tl1 Tl 0.025 0.171 0.467
Tl2 Tl 0.025 0.329 0.967
Tl3 Tl 0.975 0.671 0.033
Tl4 Tl 0.975 0.829 0.533
I1 I 0.457 0.608 0.773
I2 I 0.457 0.892 0.273
I3 I 0.543 0.108 0.727
I4 I 0.543 0.392 0.227
Br1 Br 0.147 0.692 0.358
Br2 Br 0.147 0.808 0.858
Br3 Br 0.195 0.517 0.878
Br4 Br 0.195 0.983 0.378
Br5 Br 0.282 0.207 0.792
Br6 Br 0.282 0.293 0.292
Br7 Br 0.500 0.000 0.000
Br8 Br 0.500 0.500 0.500
Br9 Br 0.718 0.707 0.708
Br10 Br 0.718 0.793 0.208
Br11 Br 0.805 0.017 0.622
Br12 Br 0.805 0.483 0.122
Br13 Br 0.853 0.192 0.142
Br14 Br 0.853 0.308 0.642
```